# 1
Diffraction record for V3Mo. The powder X-ray diffraction pattern is theoretical, not measured: it uses a DFT-relaxed cell (GGA-PBE, the Materials Project) and Cu Ka.

Most intense lines, 10 to 80 degrees two-theta, in order of rising 2θ:
2θ/deg	I (rel.)
25.4	10
29.4	5
42.1	100
49.8	5
52.2	1
61.0	15
67.2	2
69.2	2
76.9	30

Cell and atoms:
```
V3Mo
1.0
6.0746 0.0000 0.0000
0.0000 6.0746 0.0000
0.0000 0.0000 6.0746
V Mo
12 4
Direct
0.0000 0.0000 0.0000
0.0000 0.5000 0.5000
0.2500 0.2500 0.2500
0.2500 0.2500 0.7500
0.2500 0.7500 0.2500
0.2500 0.7500 0.7500
0.5000 0.0000 0.5000
0.5000 0.5000 0.0000
0.7500 0.2500 0.2500
0.7500 0.2500 0.7500
0.7500 0.7500 0.2500
0.7500 0.7500 0.7500
0.0000 0.0000 0.5000
0.0000 0.5000 0.0000
0.5000 0.0000 0.0000
0.5000 0.5000 0.5000
```

# 2
Diffraction record for LiTi4O8. The powder X-ray diffraction pattern is theoretical, not measured: it uses a DFT-relaxed cell (GGA-PBE, the Materials Project) and Cu Ka.

Most intense lines, 10 to 80 degrees two-theta, in order of rising 2θ:
2θ/deg	I (rel.)
18.2	100
18.4	44
35.1	13
35.3	22
35.5	11
42.9	84
56.7	10
61.9	22
62.6	21
65.2	10

Cell and atoms:
```
LiTi4O8
1.0
2.9971 1.7304 4.8232
-2.9971 1.7304 4.8232
0.0000 -3.4608 4.8232
Li Ti O
1 4 8
Direct
0.0000 0.0000 0.0000
0.0000 0.5000 0.5000
0.5000 0.0000 0.5000
0.5000 0.5000 0.0000
0.5000 0.5000 0.5000
0.2600 0.2600 0.7105
0.2600 0.7105 0.2600
0.2651 0.2651 0.2651
0.2895 0.7400 0.7400
0.7105 0.2600 0.2600
0.7349 0.7349 0.7349
0.7400 0.2895 0.7400
0.7400 0.7400 0.2895
```